No. 1
Diffraction record for Ca2Mg3Si. The XRD peak list is computed, not measured: it uses a crystal structure in the Materials Project, relaxed with GGA-PBE and Cu Kα.
Peak positions follow from Bragg's law for the DFT cell and can differ from measured ones.

The 8 most intense peaks (10° ≤ 2θ ≤ 90°), by angle:
index  Position (°2θ)  d (Å)  Rel. int.
1 1 0  29.5  3.028  46.6
1 0 3  33.1  2.703  66.5
1 1 2  35.2  2.550  100.0
2 0 1  35.5  2.527  62.3
2 1 3  54.7  1.678  29.4
3 0 2  56.1  1.640  23.7
2 0 5  60.3  1.535  25.9
2 2 0  61.2  1.514  23.9

abc: 6.057 6.057 9.462
angles: 90.00 90.00 120.00
Fractional positions:
Ca: 0.333 0.667 0.059
Ca: 0.333 0.667 0.441
Ca: 0.667 0.333 0.559
Ca: 0.667 0.333 0.941
Mg: 0.165 0.330 0.750
Mg: 0.165 0.835 0.750
Mg: 0.330 0.165 0.250
Mg: 0.670 0.835 0.750
Mg: 0.835 0.165 0.250
Mg: 0.835 0.670 0.250
Si: 0.000 0.000 0.000
Si: 0.000 0.000 0.500


No. 2
Diffraction record for CaMgSi. The XRD peak list is computed, not measured: it uses a crystal structure in the Materials Project, relaxed with GGA-PBE and Cu Kα.
Peak positions follow from Bragg's law for the DFT cell and can differ from measured ones.

The 8 most intense peaks (10° ≤ 2θ ≤ 90°), by angle:
index  Position (°2θ)  d (Å)  Rel. int.
1 1 2  31.8  2.810  74.8
2 0 2  32.2  2.781  18.2
2 1 1  33.2  2.702  100.0
1 0 3  34.5  2.601  26.4
3 0 1  37.7  2.388  22.0
0 1 3  38.3  2.351  35.0
0 2 0  40.8  2.214  38.0
3 1 4  61.7  1.503  18.0

abc: 7.478 4.428 8.322
angles: 90.00 90.00 90.00
Fractional positions:
Ca: 0.020 0.250 0.180
Ca: 0.480 0.750 0.680
Ca: 0.520 0.250 0.320
Ca: 0.980 0.750 0.820
Mg: 0.144 0.250 0.563
Mg: 0.356 0.750 0.063
Mg: 0.644 0.250 0.937
Mg: 0.856 0.750 0.437
Si: 0.230 0.750 0.384
Si: 0.270 0.250 0.884
Si: 0.730 0.750 0.116
Si: 0.770 0.250 0.616